No. 1
Theoretical powder X-ray diffraction pattern
Compound: Ti2NiIr
Radiation: copper Kα
Structure: a DFT-relaxed cell (GGA-PBE, the Materials Project)

Main lines, low angle first (2θ = 10–90°):
(1 1 1), 2θ = 25.2°, intensity 311; (2 0 0), 2θ = 29.2°, intensity 270; (2 2 0), 2θ = 41.7°, intensity 1000; (3 1 1), 2θ = 49.3°, intensity 163; (2 2 2), 2θ = 51.7°, intensity 80; (4 0 0), 2θ = 60.4°, intensity 161; (3 3 1), 2θ = 66.5°, intensity 70; (4 2 0), 2θ = 68.5°, intensity 106; (4 2 2), 2θ = 76.1°, intensity 321; (5 1 1), 2θ = 81.7°, intensity 55

Cell and atoms:
Cell: 6.1270 6.1270 6.1270 Å, 90.00 90.00 90.00°
Space group Fm-3m (No. 225)
Symmetry-distinct sites (fractional):
Ti 0.2500 0.2500 0.2500 x8
Ni 0.0000 0.0000 0.0000 x4
Ir 0.0000 0.0000 0.5000 x4

***

No. 2
Theoretical powder X-ray diffraction pattern
Compound: CaHf8N8O4
Radiation: copper Kα
Structure: a DFT-relaxed cell (GGA-PBE, the Materials Project)

Main lines, low angle first (2θ = 10–90°):
(1 1 2), 2θ = 22.2°, intensity 137; (1 1 -2), 2θ = 29.5°, intensity 373; (0 1 3), 2θ = 29.7°, intensity 339; (1 0 3), 2θ = 30.2°, intensity 366; (1 -1 0), 2θ = 32.4°, intensity 1000; (2 1 1), 2θ = 32.6°, intensity 511; (0 0 4), 2θ = 35.0°, intensity 222; (2 0 -2), 2θ = 44.2°, intensity 136; (0 2 -2), 2θ = 44.6°, intensity 133; (2 1 -3), 2θ = 47.8°, intensity 132; (1 -1 4), 2θ = 48.8°, intensity 231; (3 0 1), 2θ = 58.0°, intensity 131

Cell and atoms:
Cell: 5.4966 5.5156 10.6860 Å, 75.74 76.64 60.27°
Space group P1 (No. 1)
Symmetry-distinct sites (fractional):
Ca 0.0000 0.0000 0.0000 x1
Hf 0.1062 0.0218 0.7413 x1
Hf 0.1828 0.1451 0.4592 x1
Hf 0.3181 0.3167 0.0381 x1
Hf 0.4403 0.3782 0.7234 x1
Hf 0.5753 0.5282 0.2773 x1
Hf 0.6700 0.6926 0.9620 x1
Hf 0.8039 0.7921 0.5414 x1
Hf 0.9036 0.8673 0.2586 x1
N 0.0758 0.6608 0.8764 x1
N 0.3268 0.6062 0.1265 x1
N 0.3752 0.0560 0.8697 x1
N 0.4344 0.7789 0.6199 x1
N 0.5772 0.1471 0.3823 x1
N 0.6374 0.9064 0.1204 x1
N 0.8165 0.1041 0.6186 x1
N 0.8725 0.5346 0.3804 x1
O 0.1412 0.3944 0.6193 x1
O 0.2009 0.8308 0.3751 x1
O 0.6779 0.3657 0.8762 x1
O 0.9479 0.2921 0.1337 x1

***

No. 3
Theoretical powder X-ray diffraction pattern
Compound: LiAlO2
Radiation: copper Kα
Structure: a DFT-relaxed cell (GGA-PBE, the Materials Project)

Main lines, low angle first (2θ = 10–90°):
(1 0 1), 2θ = 23.1°, intensity 52; (1 0 2), 2θ = 23.9°, intensity 171; (1 0 3), 2θ = 25.1°, intensity 604; (1 0 4), 2θ = 26.9°, intensity 176; (0 0 12), 2θ = 42.9°, intensity 553; (2 0 0), 2θ = 46.5°, intensity 1000; (2 1 3), 2θ = 53.6°, intensity 126; (1 0 15), 2θ = 59.8°, intensity 109; (2 0 12), 2θ = 65.2°, intensity 531; (2 2 0), 2θ = 67.9°, intensity 267; (2 1 15), 2θ = 79.0°, intensity 86; (2 2 12), 2θ = 83.8°, intensity 235

Cell and atoms:
Cell: 3.9024 3.9024 25.2806 Å, 90.00 90.00 90.00°
Space group P-4m2 (No. 115)
Symmetry-distinct sites (fractional):
Li 0.0000 0.0000 0.0000 x1
Li 0.0000 0.0000 0.3330 x2
Li 0.0000 0.5000 0.0886 x2
Li 0.0000 0.5000 0.2446 x2
Li 0.0000 0.5000 0.5830 x2
Li 0.5000 0.5000 0.1665 x2
Li 0.5000 0.5000 0.5000 x1
Al 0.0000 0.0000 0.1666 x2
Al 0.0000 0.0000 0.5000 x1
Al 0.0000 0.5000 0.4166 x2
Al 0.0000 0.5000 0.7494 x2
Al 0.0000 0.5000 0.9174 x2
Al 0.5000 0.5000 0.0000 x1
Al 0.5000 0.5000 0.3332 x2
O 0.0000 0.0000 0.0915 x2
O 0.0000 0.0000 0.2416 x2
O 0.0000 0.0000 0.4251 x2
O 0.0000 0.5000 0.1666 x2
O 0.0000 0.5000 0.3419 x2
O 0.0000 0.5000 0.4917 x2
O 0.0000 0.5000 0.6754 x2
O 0.0000 0.5000 0.8335 x2
O 0.0000 0.5000 0.9912 x2
O 0.5000 0.5000 0.0755 x2
O 0.5000 0.5000 0.2576 x2
O 0.5000 0.5000 0.4082 x2

***

No. 4
Theoretical powder X-ray diffraction pattern
Compound: Zr5S8
Radiation: copper Kα
Structure: a DFT-relaxed cell (GGA-PBE, the Materials Project)

Main lines, low angle first (2θ = 10–90°):
(1 1 1), 2θ = 14.5°, intensity 497; (2 0 0), 2θ = 16.7°, intensity 321; (2 2 0), 2θ = 23.8°, intensity 164; (3 1 1), 2θ = 27.9°, intensity 1000; (4 0 0), 2θ = 33.9°, intensity 699; (3 3 1), 2θ = 37.0°, intensity 271; (4 2 2), 2θ = 41.8°, intensity 228; (5 1 1), 2θ = 44.4°, intensity 628; (4 4 0), 2θ = 48.6°, intensity 801; (6 4 2), 2θ = 66.0°, intensity 126; (5 5 3), 2θ = 68.0°, intensity 220; (8 2 2), 2θ = 76.3°, intensity 142

Cell and atoms:
Cell: 10.5920 10.5920 10.5920 Å, 90.00 90.00 90.00°
Space group F-43m (No. 216)
Symmetry-distinct sites (fractional):
Zr 0.0000 0.0000 0.0000 x4
Zr 0.1092 0.1092 0.6092 x16
S 0.1292 0.1292 0.3708 x16
S 0.1342 0.1342 0.8658 x16

***

No. 5
Theoretical powder X-ray diffraction pattern
Compound: PrIn5Rh
Radiation: copper Kα
Structure: a DFT-relaxed cell (GGA-PBE, the Materials Project)

Main lines, low angle first (2θ = 10–90°):
(1 0 0), 2θ = 18.8°, intensity 82; (1 1 1), 2θ = 29.2°, intensity 309; (0 0 3), 2θ = 35.2°, intensity 150; (1 1 2), 2θ = 35.7°, intensity 1000; (2 0 0), 2θ = 38.2°, intensity 544; (1 1 3), 2θ = 44.7°, intensity 60; (2 0 3), 2θ = 52.9°, intensity 183; (2 2 0), 2θ = 55.1°, intensity 183; (2 0 4), 2θ = 62.5°, intensity 76; (3 1 1), 2θ = 63.5°, intensity 65; (2 2 3), 2θ = 67.1°, intensity 88; (3 1 2), 2θ = 67.4°, intensity 408

Cell and atoms:
Cell: 4.7169 4.7169 7.6519 Å, 90.00 90.00 90.00°
Space group P4/mmm (No. 123)
Symmetry-distinct sites (fractional):
Pr 0.0000 0.0000 0.0000 x1
In 0.0000 0.5000 0.3044 x4
In 0.5000 0.5000 0.0000 x1
Rh 0.0000 0.0000 0.5000 x1

***

No. 6
Theoretical powder X-ray diffraction pattern
Compound: Hf3N4
Radiation: copper Kα
Structure: a DFT-relaxed cell (GGA-PBE, the Materials Project)

Main lines, low angle first (2θ = 10–90°):
(1 0 1), 2θ = 30.5°, intensity 396; (0 1 2), 2θ = 31.1°, intensity 164; (0 0 9), 2θ = 31.9°, intensity 557; (1 0 4), 2θ = 33.5°, intensity 840; (0 1 5), 2θ = 35.2°, intensity 1000; (0 1 8), 2θ = 41.9°, intensity 239; (1 1 0), 2θ = 53.8°, intensity 479; (1 0 13), 2θ = 56.8°, intensity 259; (0 1 14), 2θ = 60.1°, intensity 219; (1 1 9), 2θ = 63.9°, intensity 471; (0 2 4), 2θ = 64.9°, intensity 137; (2 0 5), 2θ = 65.9°, intensity 163

Cell and atoms:
Cell: 3.4092 3.4092 25.2348 Å, 90.00 90.00 120.00°
Space group R-3m (No. 166, hexagonal axes)
Symmetry-distinct sites (fractional):
Hf 0.0000 0.0000 0.0000 x3
Hf 0.0000 0.0000 0.2220 x6
N 0.0000 0.0000 0.1323 x6
N 0.0000 0.0000 0.3781 x6